Simulated X-ray powder pattern of GaFe14Ge for CuKα, from a DFT-relaxed cell (GGA-PBE, Alexandria).
No peak broadening, texture or thermal motion is included.

Structure:
Unit cell a=5.8790 b=8.0045 c=7.9969 alpha=90.00 beta=90.00 gamma=90.00
Space group Cmmm (No. 65)
Asymmetric unit:
1 Ga 0.0000 0.0000 0.0000
2 Fe 0.0000 0.0000 0.5000
3 Fe 0.0000 0.2491 0.2491
4 Fe 0.0000 0.5000 0.5000
5 Fe 0.2486 0.5000 0.2546
6 Fe 0.2500 0.2500 0.0000
7 Fe 0.2500 0.2500 0.5000
8 Ge 0.0000 0.5000 0.0000

Main lines, in order of falling intensity (2θ from 10° to 80°):
(hkl), 2θ/deg, d/Å, I (rel.)
2 2 2, 44.45, 2.038, 100
0 4 0, 45.34, 2.000, 47
0 4 4, 66.06, 1.414, 14
4 0 0, 63.27, 1.470, 8

***

Simulated X-ray powder pattern of Ga2FeNi7Ge2 for CuKα, from a DFT-relaxed cell (GGA-PBE, Alexandria).
No peak broadening, texture or thermal motion is included.

Structure:
Unit cell a=4.8320 b=4.8331 c=13.9423 alpha=90.00 beta=99.89 gamma=90.00
Space group C2/m (No. 12)
Asymmetric unit:
1 Ga 0.1302 0.0000 0.2631
2 Fe 0.0000 0.5000 0.0000
3 Ni 0.0000 0.0000 0.0000
4 Ni 0.1849 0.2500 0.8673
5 Ni 0.2210 0.0000 0.4434
6 Ge 0.1916 0.5000 0.3840

Main lines, in order of falling intensity (2θ from 10° to 80°):
(hkl), 2θ/deg, d/Å, I (rel.)
2 2 -1, 53.64, 1.709, 100
2 0 -4, 42.29, 2.137, 97
0 2 1, 37.80, 2.380, 78
2 0 3, 45.93, 1.976, 75
1 1 -6, 44.96, 2.016, 72
2 0 4, 50.29, 1.814, 48
1 1 4, 39.58, 2.277, 47
0 2 0, 37.21, 2.416, 39
0 4 0, 79.30, 1.208, 29
0 0 7, 46.27, 1.962, 28

***

Simulated X-ray powder pattern of PaGaFe2Ge4 for CuKα, from a DFT-relaxed cell (GGA-PBE, Alexandria).
No peak broadening, texture or thermal motion is included.

Structure:
Unit cell a=3.6084 b=3.6084 c=10.8387 alpha=90.00 beta=90.00 gamma=90.00
Space group P4/mmm (No. 123)
Asymmetric unit:
1 Pa 0.0000 0.0000 0.0000
2 Ga 0.0000 0.0000 0.5000
3 Fe 0.5000 0.5000 0.3910
4 Ge 0.0000 0.5000 0.2266

Main lines, in order of falling intensity (2θ from 10° to 80°):
(hkl), 2θ/deg, d/Å, I (rel.)
1 1 2, 39.02, 2.308, 100
0 0 5, 41.68, 2.167, 49
1 0 1, 26.03, 3.424, 46
1 0 2, 29.75, 3.003, 42
2 0 0, 50.59, 1.804, 32
2 0 5, 67.56, 1.387, 29
1 1 3, 43.42, 2.084, 22
0 0 4, 33.06, 2.710, 20
1 0 6, 57.03, 1.615, 16
1 0 0, 24.67, 3.609, 15